[1]
Structure and simulated powder XRD pattern of Bi2O3 (the PBE geometry in the Materials Project; Cu Kα (λ = 1.5418 Å)).

The 6 most intense peaks (5° ≤ 2θ ≤ 70°), in order of falling intensity:
26.01 deg, I 100.0, hkl 3 1 0; 28.54 deg, I 64.1, hkl 2 2 2; 45.88 deg, I 48.4, hkl 5 1 2; 20.08 deg, I 45.0, hkl 2 1 1; 30.88 deg, I 42.3, hkl 3 2 1; 42.55 deg, I 40.3, hkl 4 3 1

Crystal structure
```
data_Bi2O3
_chemical_formula_sum 'Bi24 O36'
_cell_length_a 10.8336
_cell_length_b 10.8336
_cell_length_c 10.8336
_cell_angle_alpha 90.00
_cell_angle_beta 90.00
_cell_angle_gamma 90.00
_space_group_name_H-M_alt 'I 2 3'
_space_group_IT_number 197
_space_group_name_Hall 'I 2 2 3'
loop_
_atom_site_label
_atom_site_fract_x
_atom_site_fract_y
_atom_site_fract_z
Bi1 0.0626 0.1478 0.6555
O1 0.0000 0.0000 0.2311
O2 0.0807 0.3209 0.7507
```

[2]
Structure and simulated powder XRD pattern of Bi2O3 (the PBE geometry in the Materials Project; Cu Kα (λ = 1.5418 Å)).

The 6 most intense peaks (5° ≤ 2θ ≤ 70°), in order of falling intensity:
25.69 deg, I 100.0, hkl 0 0 2; 26.20 deg, I 82.3, hkl 0 1 0; 28.09 deg, I 76.3, hkl 1 0 -1; 28.61 deg, I 75.0, hkl 1 -1 1; 30.66 deg, I 48.8, hkl 0 1 -2; 44.57 deg, I 47.1, hkl 1 -1 3

Crystal structure
```
data_Bi2O3
_chemical_formula_sum 'Bi2 O3'
_cell_length_a 3.7414
_cell_length_b 3.9883
_cell_length_c 7.2868
_cell_angle_alpha 105.86
_cell_angle_beta 90.20
_cell_angle_gamma 116.37
_space_group_name_H-M_alt 'P 1'
_space_group_IT_number 1
loop_
_space_group_symop_operation_xyz
'x,y,z'
loop_
_atom_site_label
_atom_site_fract_x
_atom_site_fract_y
_atom_site_fract_z
Bi1 0.0000 0.0000 0.0000
Bi2 0.4219 0.8670 0.4791
O1 0.1190 0.2268 0.3351
O2 0.3349 0.6613 0.0208
O3 0.9018 0.7977 0.6530
```

[3]
Structure and simulated powder XRD pattern of Bi2O3 (the PBE geometry in the Materials Project; Cu Kα (λ = 1.5418 Å)).

The 6 most intense peaks (5° ≤ 2θ ≤ 70°), in order of falling intensity:
27.58 deg, I 100.0, hkl 2 2 2; 45.81 deg, I 40.0, hkl 4 4 0; 31.95 deg, I 39.5, hkl 4 0 0; 54.31 deg, I 37.6, hkl 6 2 2; 56.94 deg, I 8.9, hkl 4 4 4; 19.41 deg, I 6.3, hkl 2 1 1

Crystal structure
```
data_Bi2O3
_chemical_formula_sum 'Bi32 O48'
_cell_length_a 11.2047
_cell_length_b 11.2047
_cell_length_c 11.2047
_cell_angle_alpha 90.00
_cell_angle_beta 90.00
_cell_angle_gamma 90.00
_space_group_name_H-M_alt 'I a -3'
_space_group_IT_number 206
_space_group_name_Hall '-I 2b 2c 3'
loop_
_atom_site_label
_atom_site_fract_x
_atom_site_fract_y
_atom_site_fract_z
Bi1 0.0000 0.0000 0.0000
Bi2 0.0000 0.2500 0.2776
O1 0.0958 0.1463 0.6279
```

[4]
Structure and simulated powder XRD pattern of BiO2 (the PBE geometry in the Materials Project; Cu Kα (λ = 1.5418 Å)).

The 6 most intense peaks (5° ≤ 2θ ≤ 70°), in order of falling intensity:
30.48 deg, I 100.0, hkl 2 1 1; 24.24 deg, I 52.1, hkl 0 2 0; 24.37 deg, I 51.0, hkl 0 0 2; 46.72 deg, I 38.9, hkl 2 3 1; 46.87 deg, I 38.1, hkl 2 1 3; 34.64 deg, I 31.4, hkl 0 2 2

Crystal structure
```
data_BiO2
_chemical_formula_sum 'Bi8 O16'
_cell_length_a 7.1182
_cell_length_b 7.3434
_cell_length_c 7.3046
_cell_angle_alpha 90.00
_cell_angle_beta 90.00
_cell_angle_gamma 90.00
_space_group_name_H-M_alt 'I m m a'
_space_group_IT_number 74
_space_group_name_Hall '-I 2b 2'
loop_
_atom_site_label
_atom_site_fract_x
_atom_site_fract_y
_atom_site_fract_z
Bi1 0.0000 0.2500 0.2435
Bi2 0.2500 0.2500 0.7500
O1 0.0000 0.0598 0.7586
O2 0.2428 0.2500 0.4432
```